# 1
Dy6Mg7: theoretical powder X-ray diffraction pattern (Cu Ka), based on a crystal structure in Alexandria, relaxed with GGA-PBE.
Lines closer than 0.1° are merged.

Peak list (10 most intense, 10 to 90 degrees two-theta, low angle first)
5.652 Å, intensity 27.5; 5.139 Å, intensity 28.7; 3.002 Å, intensity 100.0; 2.840 Å, intensity 68.5; 2.651 Å, intensity 98.1; 1.733 Å, intensity 20.3; 1.700 Å, intensity 30.0; 1.657 Å, intensity 33.5; 1.501 Å, intensity 18.6; 1.422 Å, intensity 17.7

Atomic structure:
```
Dy6Mg7
1.0
3.0020 1.7332 11.3031
-3.0020 1.7332 11.3031
0.0000 -3.4664 11.3031
Dy Mg
6 7
Cartesian
0.0000 0.0000 1.6030
0.0000 0.0000 5.1350
0.0000 0.0000 11.3364
0.0000 0.0000 22.5730
0.0000 0.0000 28.7744
0.0000 0.0000 32.3064
-1.5178 -0.8763 14.4447
0.0000 -1.7526 19.4648
-1.5178 0.8763 19.4648
0.0000 0.0000 16.9547
1.5178 -0.8763 14.4447
0.0000 1.7526 14.4447
1.5178 0.8763 19.4648
```

=====

# 2
HfV2Zn2: theoretical powder X-ray diffraction pattern (Cu Ka), based on a crystal structure in Alexandria, relaxed with GGA-PBE.
Lines closer than 0.1° are merged.

Peak list (10 most intense, 10 to 90 degrees two-theta, low angle first)
3.684 Å, intensity 17.3; 2.677 Å, intensity 15.4; 2.641 Å, intensity 34.1; 2.464 Å, intensity 100.0; 1.962 Å, intensity 34.0; 1.880 Å, intensity 25.1; 1.583 Å, intensity 12.7; 1.575 Å, intensity 14.3; 1.357 Å, intensity 16.7; 1.209 Å, intensity 19.8

Atomic structure:
```
HfV2Zn2
1.0
-1.9620 1.9620 5.3545
1.9620 -1.9620 5.3545
1.9620 1.9620 -5.3545
Hf V Zn
1 2 2
Cartesian
0.0000 0.0000 0.0000
0.0000 0.0000 4.3753
0.0000 0.0000 6.3337
1.9620 0.0000 2.6772
0.0000 1.9620 2.6772
```

=====

# 3
CsNaMo2Pb: theoretical powder X-ray diffraction pattern (Cu Ka), based on a crystal structure in Alexandria, relaxed with GGA-PBE.
Lines closer than 0.1° are merged.

Peak list (10 most intense, 10 to 90 degrees two-theta, low angle first)
6.999 Å, intensity 54.4; 5.488 Å, intensity 100.0; 3.499 Å, intensity 56.7; 2.951 Å, intensity 45.0; 2.744 Å, intensity 59.8; 2.454 Å, intensity 27.3; 2.159 Å, intensity 60.0; 2.009 Å, intensity 30.5; 1.940 Å, intensity 21.6; 1.697 Å, intensity 28.1

Atomic structure:
```
CsNaMo2Pb
1.0
5.4877 0.0000 0.0000
0.0000 5.4877 0.0000
0.0000 0.0000 6.9988
Cs Na Mo Pb
1 1 2 1
Cartesian
0.0000 0.0000 0.0000
2.7439 2.7439 0.0000
0.0000 2.7439 3.4994
2.7439 0.0000 3.4994
0.0000 0.0000 3.4994
```

=====

Question: Number 2 is which compound?
Answer: HfV2Zn2

=====

Question: Which formula does entry 1 have?
Answer: Dy6Mg7